[1]
For Tm3Te, a crystal structure in Alexandria, relaxed with GGA-PBE gives the calculated X-ray diffraction stick pattern in this record (Cu Kα X-rays).

Unit cell a=3.7002 b=3.7455 c=9.2884 alpha=90.00 beta=90.00 gamma=90.00
Element x y z (fractional)
Tm (0.0000, 0.0000, 0.0000)
Tm (0.0000, 0.5000, 0.4375)
Tm (0.5000, 0.5000, 0.7565)
Te (0.5000, 0.0000, 0.2699)

Peak list (8 most intense, 2θ from 10° to 90°, most intense first)
d [Å], I_rel
2.533, 100
2.894, 98
3.474, 67
2.386, 48
1.572, 32
1.462, 21
1.518, 19
1.873, 17

=====

[2]
For TmTe2, a crystal structure in Alexandria, relaxed with GGA-PBE gives the calculated X-ray diffraction stick pattern in this record (Cu Kα X-rays).

Unit cell a=4.4198 b=4.4198 c=8.7904 alpha=90.00 beta=90.00 gamma=90.00
Element x y z (fractional)
Tm (0.2500, 0.2500, 0.2292)
Tm (0.7500, 0.7500, 0.7708)
Te (0.2500, 0.2500, 0.8727)
Te (0.2500, 0.7500, 0.5000)
Te (0.7500, 0.2500, 0.5000)
Te (0.7500, 0.7500, 0.1273)

Peak list (8 most intense, 2θ from 10° to 90°, most intense first)
d [Å], I_rel
2.547, 100
2.945, 96
2.210, 68
2.442, 60
3.123, 43
1.639, 36
2.930, 34
1.380, 32

=====

[3]
For TmTe2, a crystal structure in Alexandria, relaxed with GGA-PBE gives the calculated X-ray diffraction stick pattern in this record (Cu Kα X-rays).

Unit cell a=7.5931 b=8.0585 c=6.0185 alpha=90.00 beta=90.00 gamma=90.00
Element x y z (fractional)
Tm (0.2459, 0.0609, 0.2500)
Tm (0.2459, 0.4391, 0.7500)
Tm (0.7541, 0.5609, 0.2500)
Tm (0.7541, 0.9391, 0.7500)
Te (0.0736, 0.7500, 0.0000)
Te (0.0736, 0.7500, 0.5000)
Te (0.3929, 0.0946, 0.7500)
Te (0.3929, 0.4054, 0.2500)
Te (0.6071, 0.5946, 0.7500)
Te (0.6071, 0.9054, 0.2500)
Te (0.9264, 0.2500, 0.0000)
Te (0.9264, 0.2500, 0.5000)

Peak list (8 most intense, 2θ from 10° to 90°, most intense first)
d [Å], I_rel
2.412, 100
2.241, 100
2.532, 95
3.434, 70
2.643, 68
4.071, 65
2.798, 63
3.559, 60

=====

[4]
For Tm2Te3, a crystal structure in Alexandria, relaxed with GGA-PBE gives the calculated X-ray diffraction stick pattern in this record (Cu Kα X-rays).

Unit cell a=14.2896 b=13.6273 c=7.4797 alpha=79.41 beta=69.62 gamma=30.97
Element x y z (fractional)
Tm (0.0424, 0.0424, 0.2076)
Tm (0.1254, 0.1254, 0.6246)
Tm (0.2076, 0.2076, 0.0424)
Tm (0.3754, 0.3754, 0.8746)
Tm (0.6246, 0.6246, 0.1254)
Tm (0.7924, 0.7924, 0.9576)
Tm (0.8746, 0.8746, 0.3754)
Tm (0.9576, 0.9576, 0.7924)
Te (0.0435, 0.5408, 0.2060)
Te (0.1266, 0.6234, 0.6234)
Te (0.2060, 0.7097, 0.0435)
Te (0.2903, 0.7940, 0.4592)
Te (0.3766, 0.8734, 0.8734)
Te (0.4592, 0.9565, 0.2903)
Te (0.5408, 0.0435, 0.7097)
Te (0.6234, 0.1266, 0.1266)
Te (0.7097, 0.2060, 0.5408)
Te (0.7940, 0.2903, 0.9565)
Te (0.8734, 0.3766, 0.3766)
Te (0.9565, 0.4592, 0.7940)

Peak list (8 most intense, 2θ from 10° to 90°, most intense first)
d [Å], I_rel
3.052, 100
2.157, 63
1.365, 23
6.810, 19
1.765, 14
1.759, 13
1.244, 13
2.164, 13

=====

[5]
For Y4TmTe7, a crystal structure in Alexandria, relaxed with GGA-PBE gives the calculated X-ray diffraction stick pattern in this record (Cu Kα X-rays).

Unit cell a=7.4473 b=7.4473 c=13.1551 alpha=103.60 beta=103.60 gamma=33.04
Element x y z (fractional)
Y (0.0000, 0.0000, 0.0000)
Y (0.1842, 0.1842, 0.7630)
Y (0.5860, 0.5860, 0.3885)
Y (0.8849, 0.8849, 0.5745)
Tm (0.7699, 0.7699, 0.1516)
Te (0.1448, 0.1448, 0.2241)
Te (0.2241, 0.2241, 0.5273)
Te (0.3836, 0.3836, 0.0769)
Te (0.5456, 0.5456, 0.6238)
Te (0.6293, 0.6293, 0.9285)
Te (0.8475, 0.8475, 0.7917)
Te (0.9220, 0.9220, 0.3570)

Peak list (8 most intense, 2θ from 10° to 90°, most intense first)
d [Å], I_rel
3.006, 100
3.154, 90
3.281, 85
2.921, 62
2.117, 61
2.742, 52
3.211, 49
2.134, 41